Structure and theoretical PXRD pattern of Pm2ZnGe6 (the PBE geometry in Alexandria; λ = 1.5418 Å (Cu Kα)).

Largest 12 diffraction maxima, in order of rising 2θ, 2θ = 5–70°:
- 13.16°, rel. 68.7, (1 1 0)
- 22.31°, rel. 23.5, (0 0 1)
- 24.36°, rel. 100.0, (1 1 -1)
- 32.41°, rel. 83.6, (2 2 -1)
- 34.70°, rel. 85.8, (4 2 0)
- 35.51°, rel. 99.2, (5 1 -1)
- 37.27°, rel. 31.7, (2 2 1)
- 38.77°, rel. 59.8, (4 0 1)
- 40.22°, rel. 27.2, (3 3 0)
- 43.55°, rel. 67.2, (2 0 -2)
- 45.68°, rel. 21.6, (6 2 -1)
- 60.77°, rel. 24.0, (1 3 2)

Atomic structure:
a = 14.5982 Å, b = 7.6684 Å, c = 4.1555 Å
α = 90.00°, β = 106.40°, γ = 90.00°
Space group Cm (No. 8)
Symmetry-distinct sites (fractional):
Pm (0.0000, 0.0000, 0.0000) (multiplicity 2)
Pm (0.2485, 0.0000, 0.2490) (multiplicity 2)
Zn (0.0197, 0.5000, 0.5228) (multiplicity 2)
Ge (0.1191, 0.2160, 0.6190) (multiplicity 4)
Ge (0.2942, 0.3262, 0.7950) (multiplicity 4)
Ge (0.4039, 0.2682, 0.4045) (multiplicity 4)